(1)
Diffraction record for LiAl4Pd. The powder diffraction line list is computed, not measured: it uses DFT lattice parameters and positions (GGA-PBE) and Cu Kα.
No peak broadening, texture or thermal motion is included.

Principal peaks in the range 15° ≤ 2θ ≤ 90°, in order of rising 2θ:
2θ/deg, d [Å], intensity
24.4, 3.650, 100
25.9, 3.443, 11
29.1, 3.070, 18
30.8, 2.899, 17
42.0, 2.154, 68
42.0, 2.149, 23
42.2, 2.143, 45
44.8, 2.024, 11
46.5, 1.954, 12
76.9, 1.239, 14

Atomic structure:
```
data_LiAl4Pd
_chemical_formula_sum 'Li2 Al8 Pd2'
_space_group_name_H-M_alt 'P 1'
_space_group_IT_number 1
_space_group_name_Hall 'P 1'
_cell_length_a 4.2875
_cell_length_b 6.6306
_cell_length_c 7.4679
_cell_angle_alpha 101.23
_cell_angle_beta 90.22
_cell_angle_gamma 108.84
loop_
_atom_site_label
_atom_site_fract_x
_atom_site_fract_y
_atom_site_fract_z
_atom_site_occupancy
Li1 0.1473 0.2948 0.2205 1
Li2 0.8527 0.7052 0.7795 1
Al1 0.0729 0.1473 0.8490 1
Al2 0.2077 0.4135 0.5840 1
Al3 0.2981 0.5964 0.9515 1
Al4 0.4361 0.8719 0.6369 1
Al5 0.5639 0.1281 0.3631 1
Al6 0.7019 0.4036 0.0485 1
Al7 0.7923 0.5865 0.4160 1
Al8 0.9271 0.8527 0.1510 1
Pd1 0.0000 0.0000 0.5000 1
Pd2 0.5000 0.0000 0.0000 1
```

=====

(2)
Diffraction record for Li4AlPd5. The powder diffraction line list is computed, not measured: it uses DFT lattice parameters and positions (GGA-PBE) and Cu Kα.
No peak broadening, texture or thermal motion is included.

Principal peaks in the range 15° ≤ 2θ ≤ 90°, in order of rising 2θ:
2θ/deg, d [Å], intensity
21.3, 4.178, 36
21.5, 4.131, 28
30.3, 2.954, 56
30.4, 2.938, 47
37.4, 2.403, 100
43.4, 2.083, 38
43.8, 2.065, 47
46.1, 1.970, 32
58.5, 1.577, 22
63.0, 1.475, 25

Atomic structure:
```
data_Li4AlPd5
_chemical_formula_sum 'Li4 Al1 Pd5'
_space_group_name_H-M_alt 'P 1'
_space_group_IT_number 1
_space_group_name_Hall 'P 1'
_cell_length_a 6.3686
_cell_length_b 6.3686
_cell_length_c 6.3686
_cell_angle_alpha 98.00
_cell_angle_beta 98.00
_cell_angle_gamma 136.19
loop_
_atom_site_label
_atom_site_fract_x
_atom_site_fract_y
_atom_site_fract_z
_atom_site_occupancy
Li1 0.0000 0.3028 0.3028 1
Li2 0.0000 0.6972 0.6972 1
Li3 0.3028 0.0000 0.3028 1
Li4 0.6972 0.0000 0.6972 1
Al1 0.6781 0.6781 0.0000 1
Pd1 0.1614 0.1614 0.0000 1
Pd2 0.3173 0.3173 0.6159 1
Pd3 0.3173 0.7014 0.0000 1
Pd4 0.7014 0.3173 0.0000 1
Pd5 0.7014 0.7014 0.3841 1
```